CsKZrCl6: calculated powder diffraction line list (CuKα), based on a cell relaxed with PBE.
Intensities are scaled so that the largest is 100.

Peak list (10 most intense, 2θ from 10° to 90°, by angle)
two_theta, Rel. int., h k l
14.76, 28.9, 1 0 1
18.43, 100.0, 1 0 2
23.16, 21.1, 1 1 0
26.50, 23.9, 2 -1 2
29.76, 24.2, 2 0 2
34.75, 55.8, 1 1 4
38.05, 29.6, 2 1 2
40.69, 20.6, 3 0 0
51.22, 13.3, 4 -1 2
54.56, 12.8, 4 -2 4

Structure:
abc: 7.681 7.681 13.945
angles: 90.00 90.00 120.00
Sites, in units of the cell vectors:
Cs 0.000 0.000 0.000
Cs 0.000 0.000 0.500
K 0.333 0.667 0.250
K 0.667 0.333 0.750
Zr 0.333 0.667 0.750
Zr 0.667 0.333 0.250
Cl 0.064 0.406 0.646
Cl 0.064 0.658 0.854
Cl 0.342 0.406 0.854
Cl 0.342 0.936 0.646
Cl 0.406 0.064 0.146
Cl 0.406 0.342 0.354
Cl 0.594 0.658 0.646
Cl 0.594 0.936 0.854
Cl 0.658 0.064 0.354
Cl 0.658 0.594 0.146
Cl 0.936 0.342 0.146
Cl 0.936 0.594 0.354